1.
MnIn3I6: computed X-ray powder pattern (CuKα), based on a structure optimized by DFT (PBE).
Lines closer than 0.1° are merged.

Peak list (10 most intense, 5° ≤ 2θ ≤ 70°, by angle)
d 3.556, rel. 41, (1 2 -2)
d 3.547, rel. 28, (2 1 -2)
d 3.452, rel. 43, (1 0 2)
d 3.428, rel. 69, (0 2 2)
d 3.386, rel. 84, (2 1 -3)
d 3.137, rel. 53, (1 2 1)
d 2.877, rel. 100, (0 0 4)
d 2.852, rel. 33, (0 2 3)
d 2.672, rel. 63, (1 3 -1)
d 2.288, rel. 38, (3 1 -1)

Atomic structure:
a b c (Å): 7.7996 8.5302 13.8573
angles (deg): 90.00 123.85 90.00
Space group P2_1/c (No. 14)
Unique sites:
Mn 0.0000 0.0000 0.0000
In 0.2926 0.1037 0.7496
In 0.5000 0.0000 0.5000
I 0.1257 0.0191 0.2369
I 0.2206 0.7059 0.0500
I 0.3546 0.1758 0.0495

2.
Mn2InI5: computed X-ray powder pattern (CuKα), based on a structure optimized by DFT (PBE).
Lines closer than 0.1° are merged.

Peak list (10 most intense, 5° ≤ 2θ ≤ 70°, by angle)
d 9.135, rel. 42, (0 2 0)
d 5.794, rel. 59, (1 1 0)
d 4.268, rel. 75, (0 2 3)
d 3.216, rel. 100, (1 3 3)
d 3.053, rel. 73, (2 0 0)
d 2.575, rel. 29, (0 6 3)
d 2.484, rel. 36, (2 2 3)
d 2.414, rel. 26, (0 0 6)
d 1.969, rel. 26, (2 6 3)
d 1.893, rel. 31, (2 0 6)

Atomic structure:
a b c (Å): 6.1094 18.2697 14.4832
angles (deg): 90.00 90.00 90.00
Space group Cmcm (No. 63)
Unique sites:
Mn 0.0000 0.2198 0.0962
In 0.0000 0.0506 0.7500
I 0.0000 0.0749 0.0991
I 0.0000 0.2686 0.5823
I 0.0000 0.3110 0.2500

3.
MnIn2I8: computed X-ray powder pattern (CuKα), based on a structure optimized by DFT (PBE).
Lines closer than 0.1° are merged.

Peak list (10 most intense, 5° ≤ 2θ ≤ 70°, by angle)
d 7.965, rel. 23, (2 0 0)
d 4.118, rel. 34, (2 2 0)
d 3.983, rel. 28, (4 0 0)
d 3.578, rel. 34, (0 2 2)
d 3.542, rel. 100, (4 2 -2)
d 3.506, rel. 28, (2 0 2)
d 2.673, rel. 35, (0 0 4)
d 2.405, rel. 21, (0 4 0)
d 2.325, rel. 47, (6 2 0)
d 2.059, rel. 25, (4 2 -6)

Atomic structure:
a b c (Å): 21.0851 9.6204 14.1712
angles (deg): 90.00 130.92 90.00
Space group C2/c (No. 15)
Unique sites:
Mn 0.0000 0.0086 0.2500
In 0.0826 0.2448 0.5324
I 0.0769 0.2150 0.2017
I 0.0835 0.2292 0.7294
I 0.1490 0.0052 0.5108
I 0.1635 0.4794 0.5589

4.
MnInI4: computed X-ray powder pattern (CuKα), based on a structure optimized by DFT (PBE).
Lines closer than 0.1° are merged.

Peak list (10 most intense, 5° ≤ 2θ ≤ 70°, by angle)
d 6.025, rel. 22, (1 0 1)
d 3.841, rel. 100, (1 1 2)
d 3.433, rel. 13, (2 0 0)
d 2.983, rel. 10, (2 1 1)
d 2.428, rel. 22, (2 2 0)
d 2.317, rel. 39, (2 0 4)
d 2.052, rel. 31, (3 1 2)
d 1.922, rel. 18, (1 1 6)
d 1.507, rel. 12, (1 3 6)
d 1.379, rel. 12, (2 4 4)

Atomic structure:
a b c (Å): 6.8669 6.8669 12.5601
angles (deg): 90.00 90.00 90.00
Space group I-4 (No. 82)
Unique sites:
Mn 0.0000 0.0000 0.0000
In 0.0000 0.5000 0.2500
I 0.2217 0.7624 0.8824

5.
Na2InI5: computed X-ray powder pattern (CuKα), based on a structure optimized by DFT (PBE).
Lines closer than 0.1° are merged.

Peak list (10 most intense, 5° ≤ 2θ ≤ 70°, by angle)
d 9.535, rel. 12, (1 1 0)
d 6.658, rel. 25, (1 1 1)
d 6.540, rel. 12, (2 0 0)
d 3.791, rel. 12, (2 0 2)
d 3.704, rel. 100, (3 2 0)
d 2.565, rel. 26, (2 4 2)
d 2.325, rel. 14, (0 0 4)
d 2.121, rel. 18, (4 4 2)
d 2.051, rel. 11, (3 6 0)
d 1.968, rel. 14, (3 2 4)

Atomic structure:
a b c (Å): 13.0808 13.9281 9.3015
angles (deg): 90.00 90.00 90.00
Space group Pnnm (No. 58)
Unique sites:
Na 0.0000 0.0000 0.2207
Na 0.1143 0.3275 0.0000
In 0.2442 0.2387 0.5000
I 0.0524 0.1539 0.5000
I 0.1130 0.5904 0.0000
I 0.1158 0.1166 0.0000
I 0.2293 0.8572 0.2361

6.
NaInI4: computed X-ray powder pattern (CuKα), based on a structure optimized by DFT (PBE).
Lines closer than 0.1° are merged.

Peak list (10 most intense, 5° ≤ 2θ ≤ 70°, by angle)
d 6.222, rel. 40, (1 0 1)
d 3.883, rel. 100, (1 1 2)
d 3.677, rel. 17, (2 0 0)
d 3.165, rel. 15, (1 2 1)
d 2.600, rel. 21, (2 2 0)
d 2.512, rel. 14, (2 1 3)
d 2.286, rel. 34, (2 0 4)
d 2.160, rel. 27, (3 1 2)
d 2.009, rel. 14, (2 3 1)
d 1.823, rel. 11, (1 1 6)

Atomic structure:
a b c (Å): 7.3531 7.3531 11.6770
angles (deg): 90.00 90.00 90.00
Space group I-4 (No. 82)
Unique sites:
Na 0.0000 0.0000 0.0000
In 0.0000 0.5000 0.2500
I 0.2010 0.7393 0.3819